Entry 1:
# RbBaF14
Theoretical powder diffractogram, a wavelength of 1.5418 Å. Input: a GGA-PBE-relaxed structure.
No peak broadening, texture or thermal motion is included.

Peak list (8 most intense, 2θ from 10° to 90°, in order of rising 2θ)
d (Å)  I/Imax
6.236  100
4.213  28
3.066  57
3.016  24
2.995  25
2.944  20
2.544  28
2.194  20

Structural model:
```
32
Lattice="9.1096 0.0000 0.0000 4.4606 7.9580 0.0000 4.5412 1.6342 7.9768" Properties=species:S:1:pos:R:3 pbc="T T T"
Rb 3.1397 2.4424 1.9866
Rb 14.9718 7.1499 5.9902
Ba 6.8254 0.8171 3.9884
Ba 6.7851 3.9790 0.0000
F 6.0990 4.4123 6.8694
F 9.7061 9.5179 7.8962
F 6.1930 6.5040 3.1347
F 4.5469 5.1111 1.1946
F 4.4059 1.9833 4.5892
F 8.7274 8.1492 5.4766
F 8.6760 6.7543 6.1314
F 7.8847 4.4938 6.7034
F 7.7909 7.3641 2.6900
F 6.3805 3.1550 2.6288
F 9.3536 3.8296 7.7641
F 9.1978 7.9599 2.2629
F 11.4278 7.9794 6.5554
F 8.4074 4.5620 3.7953
F 9.7041 5.0303 4.1814
F 6.6837 1.6128 1.4213
F 8.9138 1.6323 5.7139
F 8.7580 5.7626 0.2127
F 11.7310 6.4373 5.3479
F 10.3206 2.2281 5.2868
F 10.2269 5.0984 1.2733
F 9.4355 2.8380 1.8453
F 9.3841 1.4430 2.5002
F 13.7056 7.6090 3.3875
F 13.5646 4.4812 6.7821
F 11.9186 3.0882 4.8420
F 8.4055 0.0744 0.0806
F 12.0126 5.1799 1.1073
```

=====

Entry 2:
# Rb4BaF6
Theoretical powder diffractogram, a wavelength of 1.5418 Å. Input: a GGA-PBE-relaxed structure.
No peak broadening, texture or thermal motion is included.

Peak list (8 most intense, 2θ from 10° to 90°, in order of rising 2θ)
d (Å)  I/Imax
5.790  27
3.650  51
3.347  100
2.582  39
2.467  41
1.986  22
1.933  26
1.674  19

Structural model:
```
22
Lattice="5.7977 3.3473 4.6980 -5.7977 3.3473 4.6980 0.0000 -6.6946 4.6980" Properties=species:S:1:pos:R:3 pbc="T T T"
Rb -3.8260 0.0677 5.8725
Rb 0.0000 0.0000 3.5235
Rb -1.9716 -3.2796 8.2215
Rb 1.8544 -3.3473 5.8725
Rb -1.8544 3.3473 8.2215
Rb 1.9716 3.2796 5.8725
Rb 0.0000 0.0000 10.5705
Rb 3.8260 -0.0677 8.2215
Ba 0.0000 0.0000 0.0000
Ba 0.0000 0.0000 7.0470
F -5.1449 -1.3954 7.8490
F -1.3640 -5.1533 6.2450
F -1.3640 -1.5413 5.5000
F -3.7809 3.7579 6.2450
F -0.6528 1.9519 5.5000
F -2.0168 0.4106 8.5940
F 2.0168 -0.4106 5.5000
F 0.6528 -1.9519 8.5940
F 3.7809 -3.7579 7.8490
F 1.3640 1.5413 8.5940
F 1.3640 5.1533 7.8490
F 5.1449 1.3954 6.2450
```